# 1
Theoretical powder diffraction line list of HfTi6Sb4 for a wavelength of 1.5418 Å, from a DFT-relaxed cell (PBE, Alexandria).
Lines closer than 0.1° are merged.

Structural model:
a = 6.7422 Å, b = 6.7422 Å, c = 10.8382 Å
α = 90.00°, β = 90.00°, γ = 90.00°
Space group I-42m (No. 121)
Inequivalent atoms, fractional coordinates:
Hf  0.0000  0.0000  0.0000 (multiplicity 2)
Ti  0.0000  0.5000  0.0000 (multiplicity 4)
Ti  0.1592  0.1592  0.6035 (multiplicity 8)
Sb  0.2458  0.2458  0.3534 (multiplicity 8)

Main lines, low angle first (2θ = 10–90°):
| Position (°2θ) | I/Imax | h k l |
| --- | --- | --- |
| 24.88 | 91.3 | 1 1 2 |
| 26.44 | 28.1 | 2 0 0 |
| 28.02 | 28.8 | 1 0 3 |
| 30.78 | 46.0 | 2 1 1 |
| 31.25 | 61.4 | 2 0 2 |
| 37.74 | 78.7 | 2 2 0 |
| 42.82 | 100.0 | 2 0 4 |
| 45.73 | 70.2 | 3 1 2 |
| 71.63 | 31.0 | 4 2 4 |
| 73.76 | 25.4 | 5 1 2 |



# 2
Theoretical powder diffraction line list of K2C for a wavelength of 1.5418 Å, from a DFT-relaxed cell (PBE, Alexandria).
Lines closer than 0.1° are merged.

Structural model:
a = 5.0969 Å, b = 5.0969 Å, c = 12.5307 Å
α = 90.00°, β = 90.00°, γ = 120.00°
Space group R-3m (No. 166, hexagonal axes)
Inequivalent atoms, fractional coordinates:
K  0.0000  0.0000  0.2500 (multiplicity 6)
C  0.0000  0.0000  0.0000 (multiplicity 3)

Main lines, low angle first (2θ = 10–90°):
| Position (°2θ) | I/Imax | h k l |
| --- | --- | --- |
| 24.67 | 78.1 | 0 1 2 |
| 35.17 | 100.0 | 1 1 0 |
| 43.47 | 15.4 | 2 0 2 |
| 50.59 | 15.1 | 0 2 4 |
| 57.01 | 12.8 | 1 1 6 |
| 57.13 | 12.7 | 1 2 2 |
| 62.97 | 7.1 | 0 1 8 |
| 63.16 | 21.2 | 3 0 0 |
| 84.92 | 5.7 | 1 2 8 |
| 85.08 | 5.7 | 1 3 4 |